No. 1
This entry pairs a crystal structure of TbNi6 with its theoretical X-ray powder pattern. Radiation: Cu Ka. Structure: a GGA-PBE-relaxed structure.
Kinematic intensities with the Lorentz-polarization factor, no thermal factor.

Peak list (10 most intense, 2θ from 5° to 70°, low angle first)
d = 2.420 Å, rel. 36.3, hkl 0 2 0; d = 2.333 Å, rel. 64.1, hkl 1 0 4; d = 2.226 Å, rel. 100.0, hkl 3 1 1; d = 2.221 Å, rel. 81.2, hkl 2 1 3; d = 2.169 Å, rel. 29.6, hkl 0 2 2; d = 2.055 Å, rel. 30.8, hkl 2 2 0; d = 2.011 Å, rel. 27.2, hkl 2 2 1; d = 1.904 Å, rel. 29.5, hkl 2 1 4; d = 1.886 Å, rel. 32.3, hkl 1 2 3; d = 1.356 Å, rel. 33.8, hkl 3 3 1

Crystal structure
Unit cell a=7.781 b=4.840 c=9.783 alpha=90.00 beta=90.00 gamma=90.00
Space group Pnma (No. 62)
Asymmetric unit:
Tb  0.241  0.250  0.061
Ni  0.062  0.750  0.092
Ni  0.067  0.006  0.308
Ni  0.103  0.250  0.519
Ni  0.148  0.750  0.852
Ni  0.182  0.250  0.758


No. 2
This entry pairs a crystal structure of Tb4NiTe3 with its theoretical X-ray powder pattern. Radiation: Cu Ka. Structure: a GGA-PBE-relaxed structure.
Kinematic intensities with the Lorentz-polarization factor, no thermal factor.

Peak list (10 most intense, 2θ from 5° to 70°, low angle first)
d = 3.061 Å, rel. 52.4, hkl 0 4 0; d = 3.036 Å, rel. 100.0, hkl 2 0 1; d = 2.223 Å, rel. 16.4, hkl 4 0 0; d = 2.156 Å, rel. 72.0, hkl 2 4 1; d = 2.077 Å, rel. 18.8, hkl 0 0 2; d = 1.799 Å, rel. 16.9, hkl 4 4 0; d = 1.719 Å, rel. 24.0, hkl 0 4 2; d = 1.518 Å, rel. 15.1, hkl 4 0 2; d = 1.367 Å, rel. 13.8, hkl 2 8 1; d = 1.360 Å, rel. 15.8, hkl 4 4 2

Crystal structure
Unit cell a=8.892 b=12.245 c=4.155 alpha=90.00 beta=90.00 gamma=90.00
Space group Cmmm (No. 65)
Asymmetric unit:
Tb  0.000  0.232  0.000
Tb  0.208  0.000  0.500
Ni  0.000  0.000  0.000
Te  0.000  0.500  0.000
Te  0.250  0.250  0.500


No. 3
This entry pairs a crystal structure of Tb5Ni2Te with its theoretical X-ray powder pattern. Radiation: Cu Ka. Structure: a GGA-PBE-relaxed structure.
Kinematic intensities with the Lorentz-polarization factor, no thermal factor.

Peak list (10 most intense, 2θ from 5° to 70°, low angle first)
d = 3.337 Å, rel. 32.7, hkl 2 1 1; d = 2.844 Å, rel. 33.8, hkl 1 1 4; d = 2.724 Å, rel. 100.0, hkl 2 1 3; d = 2.522 Å, rel. 34.2, hkl 2 0 4; d = 2.437 Å, rel. 62.5, hkl 3 1 0; d = 2.110 Å, rel. 19.1, hkl 2 1 5; d = 1.668 Å, rel. 36.1, hkl 0 0 8; d = 1.595 Å, rel. 21.3, hkl 3 3 4; d = 1.376 Å, rel. 23.6, hkl 3 1 8; d = 1.362 Å, rel. 20.4, hkl 4 4 0

Crystal structure
Unit cell a=7.707 b=7.707 c=13.338 alpha=90.00 beta=90.00 gamma=90.00
Space group I4/mcm (No. 140)
Asymmetric unit:
Tb  0.000  0.000  0.000
Tb  0.155  0.345  0.136
Ni  0.133  0.367  0.500
Te  0.000  0.000  0.250


No. 4
This entry pairs a crystal structure of TbThNi3 with its theoretical X-ray powder pattern. Radiation: Cu Ka. Structure: a GGA-PBE-relaxed structure.
Kinematic intensities with the Lorentz-polarization factor, no thermal factor.

Peak list (10 most intense, 2θ from 5° to 70°, low angle first)
d = 3.416 Å, rel. 57.4, hkl 0 4 1; d = 3.152 Å, rel. 33.4, hkl 0 8 0; d = 2.616 Å, rel. 100.0, hkl 1 3 1; d = 2.595 Å, rel. 49.4, hkl 1 7 0; d = 2.416 Å, rel. 27.2, hkl 1 5 1; d = 2.032 Å, rel. 29.9, hkl 0 0 2; d = 1.963 Å, rel. 19.6, hkl 1 9 1; d = 1.871 Å, rel. 23.1, hkl 2 0 0; d = 1.866 Å, rel. 19.8, hkl 0 12 1; d = 1.600 Å, rel. 22.9, hkl 1 7 2

Crystal structure
Unit cell a=3.742 b=25.216 c=4.063 alpha=90.00 beta=90.00 gamma=90.00
Space group Cmcm (No. 63)
Asymmetric unit:
Tb  0.000  0.068  0.250
Th  0.000  0.196  0.750
Ni  0.000  0.321  0.750
Ni  0.000  0.384  0.250
Ni  0.000  0.477  0.250


No. 5
This entry pairs a crystal structure of Tb2ThNi6 with its theoretical X-ray powder pattern. Radiation: Cu Ka. Structure: a GGA-PBE-relaxed structure.
Kinematic intensities with the Lorentz-polarization factor, no thermal factor.

Peak list (10 most intense, 2θ from 5° to 70°, low angle first)
d = 6.090 Å, rel. 3.0, hkl 1 0 0; d = 3.516 Å, rel. 24.6, hkl 1 1 0; d = 2.554 Å, rel. 100.0, hkl 1 1 1; d = 2.030 Å, rel. 40.9, hkl 3 0 0; d = 1.857 Å, rel. 10.3, hkl 0 0 2; d = 1.781 Å, rel. 1.6, hkl 3 0 1; d = 1.758 Å, rel. 3.8, hkl 2 2 0; d = 1.642 Å, rel. 6.1, hkl 1 1 2; d = 1.589 Å, rel. 23.3, hkl 2 2 1; d = 1.370 Å, rel. 22.1, hkl 3 0 2

Crystal structure
Unit cell a=7.0325 b=7.0325 c=3.7145 alpha=90.00 beta=90.00 gamma=120.00
Space group P6/mmm (No. 191)
Asymmetric unit:
Tb  0.3333  0.6667  0.0000
Th  0.0000  0.0000  0.0000
Ni  0.0000  0.3336  0.5000


No. 6
This entry pairs a crystal structure of Tb5Tl4Ni with its theoretical X-ray powder pattern. Radiation: Cu Ka. Structure: a GGA-PBE-relaxed structure.
Kinematic intensities with the Lorentz-polarization factor, no thermal factor.

Peak list (10 most intense, 2θ from 5° to 70°, low angle first)
d = 3.258 Å, rel. 4.7, hkl 3 1 0; d = 2.891 Å, rel. 100.0, hkl 3 0 1; d = 2.679 Å, rel. 25.6, hkl 0 0 2; d = 2.428 Å, rel. 34.8, hkl 3 3 0; d = 1.923 Å, rel. 3.7, hkl 3 4 1; d = 1.799 Å, rel. 29.3, hkl 3 3 2; d = 1.717 Å, rel. 11.0, hkl 6 0 0; d = 1.584 Å, rel. 17.0, hkl 3 0 3; d = 1.476 Å, rel. 21.4, hkl 3 6 1; d = 1.446 Å, rel. 12.5, hkl 6 0 2

Crystal structure
Unit cell a=10.302 b=10.302 c=5.357 alpha=90.00 beta=90.00 gamma=90.00
Space group I4/m (No. 87)
Asymmetric unit:
Tb  0.000  0.000  0.000
Tb  0.163  0.808  0.500
Tl  0.009  0.675  0.000
Ni  0.000  0.000  0.500


No. 7
This entry pairs a crystal structure of Tb3TmNi8 with its theoretical X-ray powder pattern. Radiation: Cu Ka. Structure: a GGA-PBE-relaxed structure.
Kinematic intensities with the Lorentz-polarization factor, no thermal factor.

Peak list (10 most intense, 2θ from 5° to 70°, low angle first)
d = 4.135 Å, rel. 12.9, hkl 0 1 2; d = 2.532 Å, rel. 63.9, hkl 1 1 0; d = 2.159 Å, rel. 100.0, hkl 1 0 10; d = 2.071 Å, rel. 3.8, hkl 0 0 12; d = 2.066 Å, rel. 11.6, hkl 0 2 4; d = 1.641 Å, rel. 1.7, hkl 1 2 2; d = 1.464 Å, rel. 5.9, hkl 1 0 16; d = 1.461 Å, rel. 17.6, hkl 3 0 0; d = 1.380 Å, rel. 7.6, hkl 0 0 18; d = 1.378 Å, rel. 22.8, hkl 2 1 10

Crystal structure
Unit cell a=5.0590 b=5.0590 c=24.8574 alpha=90.00 beta=90.00 gamma=120.00
Space group R3m (No. 160, hexagonal axes)
Asymmetric unit:
Tb  0.0000  0.0000  0.0000
Tb  0.0000  0.0000  0.1251
Tb  0.0000  0.0000  0.5007
Tm  0.0000  0.0000  0.6253
Ni  0.0000  0.0000  0.3126
Ni  0.0000  0.0000  0.8127
Ni  0.0002  0.5001  0.5634
Ni  0.1673  0.3347  0.3956


Copy entry 6 word for word.
This entry pairs a crystal structure of Tb5Tl4Ni with its theoretical X-ray powder pattern. Radiation: Cu Ka. Structure: a GGA-PBE-relaxed structure.
Kinematic intensities with the Lorentz-polarization factor, no thermal factor.

Peak list (10 most intense, 2θ from 5° to 70°, low angle first)
d = 3.258 Å, rel. 4.7, hkl 3 1 0; d = 2.891 Å, rel. 100.0, hkl 3 0 1; d = 2.679 Å, rel. 25.6, hkl 0 0 2; d = 2.428 Å, rel. 34.8, hkl 3 3 0; d = 1.923 Å, rel. 3.7, hkl 3 4 1; d = 1.799 Å, rel. 29.3, hkl 3 3 2; d = 1.717 Å, rel. 11.0, hkl 6 0 0; d = 1.584 Å, rel. 17.0, hkl 3 0 3; d = 1.476 Å, rel. 21.4, hkl 3 6 1; d = 1.446 Å, rel. 12.5, hkl 6 0 2

Crystal structure
Unit cell a=10.302 b=10.302 c=5.357 alpha=90.00 beta=90.00 gamma=90.00
Space group I4/m (No. 87)
Asymmetric unit:
Tb  0.000  0.000  0.000
Tb  0.163  0.808  0.500
Tl  0.009  0.675  0.000
Ni  0.000  0.000  0.500